Diffraction record for Dy5S7. The PXRD pattern is simulated, not measured: it uses a crystal structure in the Materials Project, relaxed with GGA-PBE and Cu Kα.

The 10 most intense peaks (10 to 80 degrees two-theta), in order of rising 2θ:
index  2theta  I (rel.)
2 0 2  23.86  83.5
2 0 -3  24.44  100.0
1 1 1  26.24  33.0
4 0 -1  27.77  38.4
3 1 -1  31.50  38.9
3 1 -2  33.15  47.4
3 1 1  34.22  36.5
1 1 -4  39.00  25.8
1 1 4  42.02  28.2
5 1 0  43.44  27.6

Cell lengths 12.8531, 3.8149, 11.6137 Å; angles 90.00, 104.59, 90.00 degrees
Space group C2/m (No. 12)
Inequivalent atoms, fractional coordinates:
Dy1 0.0000 0.0000 0.0000 x2
Dy2 0.1122 0.0000 0.4212 x4
Dy3 0.1993 0.5000 0.8122 x4
S1 0.0000 0.5000 0.5000 x2
S2 0.0412 0.0000 0.7849 x4
S3 0.1593 0.5000 0.0508 x4
S4 0.2408 0.5000 0.3521 x4


Diffraction record for Si2BiO6. The PXRD pattern is simulated, not measured: it uses a crystal structure in the Materials Project, relaxed with GGA-PBE and Cu Kα.

The 10 most intense peaks (10 to 80 degrees two-theta), in order of rising 2θ:
index  2theta  I (rel.)
1 1 0  13.02  100.0
2 0 0  18.38  25.1
1 1 -1  19.02  71.0
1 1 1  24.00  50.5
2 2 -1  27.85  76.1
3 1 0  29.28  37.8
1 3 0  29.48  26.9
0 0 2  34.86  57.3
4 2 -1  40.27  31.5
2 2 -3  53.92  26.2

Cell lengths 10.2402, 9.5719, 5.4626 Å; angles 90.00, 109.47, 90.00 degrees
Space group C2/c (No. 15)
Inequivalent atoms, fractional coordinates:
Si1 0.2019 0.0767 0.2319 x8
Bi1 0.0000 0.3707 0.2500 x4
O1 0.1251 0.4361 0.6599 x8
O2 0.1480 0.0162 0.4644 x8
O3 0.1544 0.2385 0.1739 x8


Diffraction record for Mg6ZrSb. The PXRD pattern is simulated, not measured: it uses a crystal structure in the Materials Project, relaxed with GGA-PBE and Cu Kα.

The 10 most intense peaks (10 to 80 degrees two-theta), in order of rising 2θ:
index  2theta  I (rel.)
0 1 1  15.78  79.4
1 1 1  23.70  22.9
1 0 2  23.97  30.0
0 2 2  31.88  26.8
1 1 3  33.23  34.4
2 0 0  35.56  36.9
1 2 2  36.62  100.0
1 0 4  37.34  50.1
3 2 2  64.57  18.0
2 2 6  69.76  19.2

Cell lengths 5.0486, 6.5384, 10.9596 Å; angles 90.00, 90.00, 90.00 degrees
Space group Amm2 (No. 38)
Inequivalent atoms, fractional coordinates:
Mg1 0.0000 0.0000 0.0000 x2
Mg2 0.0000 0.2427 0.7456 x4
Mg3 0.5000 0.0000 0.8317 x2
Mg4 0.5000 0.2457 0.0823 x4
Zr1 0.0000 0.0000 0.4970 x2
Sb1 0.5000 0.0000 0.3336 x2


Diffraction record for Ta2NiSe5. The PXRD pattern is simulated, not measured: it uses a crystal structure in the Materials Project, relaxed with GGA-PBE and Cu Kα.

The 10 most intense peaks (10 to 80 degrees two-theta), in order of rising 2θ:
index  2theta  I (rel.)
0 2 0  12.99  100.0
0 2 1  14.16  13.1
0 0 4  22.53  13.3
0 2 5  31.25  24.7
1 3 1  32.72  24.1
1 3 2  34.21  18.8
1 3 3  36.58  40.9
0 6 3  43.39  12.7
1 5 4  48.14  23.5
1 1 7  48.42  20.2

Cell lengths 3.5123, 13.6280, 15.7869 Å; angles 90.00, 90.00, 90.00 degrees
Space group Cmcm (No. 63)
Inequivalent atoms, fractional coordinates:
Ta1 0.0000 0.2216 0.1107 x8
Ni1 0.0000 0.2977 0.7500 x4
Se1 0.0000 0.1519 0.5494 x8
Se2 0.0000 0.3214 0.2500 x4
Se3 0.0000 0.4124 0.6384 x8


Copy entry 4 word for word.
Diffraction record for Ta2NiSe5. The PXRD pattern is simulated, not measured: it uses a crystal structure in the Materials Project, relaxed with GGA-PBE and Cu Kα.

The 10 most intense peaks (10 to 80 degrees two-theta), in order of rising 2θ:
index  2theta  I (rel.)
0 2 0  12.99  100.0
0 2 1  14.16  13.1
0 0 4  22.53  13.3
0 2 5  31.25  24.7
1 3 1  32.72  24.1
1 3 2  34.21  18.8
1 3 3  36.58  40.9
0 6 3  43.39  12.7
1 5 4  48.14  23.5
1 1 7  48.42  20.2

Cell lengths 3.5123, 13.6280, 15.7869 Å; angles 90.00, 90.00, 90.00 degrees
Space group Cmcm (No. 63)
Inequivalent atoms, fractional coordinates:
Ta1 0.0000 0.2216 0.1107 x8
Ni1 0.0000 0.2977 0.7500 x4
Se1 0.0000 0.1519 0.5494 x8
Se2 0.0000 0.3214 0.2500 x4
Se3 0.0000 0.4124 0.6384 x8